Record 1
# La3Ni7P5
Computed PXRD pattern, Cu Kα X-rays. Input: the GGA-PBE geometry in the Materials Project.
Neutral-atom scattering factors, no anomalous dispersion.

Largest 10 diffraction maxima, low angle first, 15° ≤ 2θ ≤ 90°:
28.4 deg, intensity 13; 33.6 deg, intensity 12; 35.4 deg, intensity 21; 36.5 deg, intensity 100; 39.0 deg, intensity 15; 45.4 deg, intensity 13; 45.8 deg, intensity 24; 57.3 deg, intensity 12; 70.3 deg, intensity 11; 78.5 deg, intensity 12

Crystal structure
Lattice parameters (Å, degrees): 16.6326 3.9622 16.6333 90.00 119.88 90.00
Positions (direct):
La 0.0000 0.0000 0.0000
La 0.0281 0.5000 0.7041
La 0.0865 0.5000 0.4961
La 0.2027 0.0000 0.2619
La 0.2612 0.0000 0.0535
La 0.2919 0.5000 0.7591
La 0.4094 0.0000 0.5244
La 0.4696 0.0000 0.3208
La 0.5242 0.0000 0.1124
La 0.7653 0.5000 0.6428
La 0.8200 0.5000 0.4366
La 0.8773 0.5000 0.2317
Ni 0.0792 0.0000 0.8658
Ni 0.0914 0.5000 0.3132
Ni 0.1378 0.0000 0.6541
Ni 0.1511 0.5000 0.1034
Ni 0.1956 0.0000 0.4431
Ni 0.2095 0.5000 0.8915
Ni 0.3035 0.5000 0.5815
Ni 0.3421 0.0000 0.9226
Ni 0.3615 0.5000 0.3710
Ni 0.3971 0.0000 0.7035
Ni 0.4196 0.5000 0.1611
Ni 0.4731 0.5000 0.9456
Ni 0.5537 0.0000 0.7281
Ni 0.5706 0.5000 0.6324
Ni 0.5834 0.0000 0.9748
Ni 0.6024 0.0000 0.5360
Ni 0.6314 0.5000 0.4317
Ni 0.6581 0.0000 0.3259
Ni 0.6874 0.5000 0.2187
Ni 0.7021 0.5000 0.7899
Ni 0.7185 0.0000 0.1278
Ni 0.7944 0.0000 0.9365
Ni 0.8184 0.0000 0.8043
Ni 0.8695 0.0000 0.5959
Ni 0.8833 0.5000 0.0512
Ni 0.9269 0.0000 0.3859
Ni 0.9439 0.5000 0.8368
Ni 0.9913 0.0000 0.1819
P 0.0360 0.0000 0.3401
P 0.0463 0.5000 0.1559
P 0.1058 0.5000 0.9476
P 0.1838 0.0000 0.8097
P 0.2416 0.0000 0.6005
P 0.2519 0.5000 0.4174
P 0.3109 0.5000 0.2117
P 0.3672 0.5000 0.0030
P 0.4411 0.0000 0.8617
P 0.4630 0.5000 0.6830
P 0.5187 0.5000 0.4759
P 0.5756 0.5000 0.2709
P 0.6290 0.5000 0.0587
P 0.6646 0.0000 0.6970
P 0.7137 0.0000 0.4855
P 0.7704 0.0000 0.2825
P 0.8310 0.0000 0.0820
P 0.8454 0.5000 0.8993
P 0.9224 0.0000 0.7534
P 0.9780 0.0000 0.5455

=====

Record 2
# CsTbP2O7
Computed PXRD pattern, Cu Kα X-rays. Input: the GGA-PBE geometry in the Materials Project.
Neutral-atom scattering factors, no anomalous dispersion.

Largest 10 diffraction maxima, low angle first, 15° ≤ 2θ ≤ 90°:
15.5 deg, intensity 27; 19.0 deg, intensity 28; 20.6 deg, intensity 22; 22.3 deg, intensity 26; 23.0 deg, intensity 34; 26.2 deg, intensity 31; 26.7 deg, intensity 60; 27.4 deg, intensity 59; 27.8 deg, intensity 100; 31.3 deg, intensity 26

Crystal structure
Lattice parameters (Å, degrees): 8.0066 11.1173 8.9249 90.00 104.99 90.00
Positions (direct):
Cs 0.1881 0.1852 0.0556
Cs 0.1881 0.3148 0.5556
Cs 0.8119 0.6852 0.4444
Cs 0.8119 0.8148 0.9444
Tb 0.2380 0.5992 0.2573
Tb 0.2380 0.9008 0.7573
Tb 0.7620 0.0992 0.2427
Tb 0.7620 0.4008 0.7427
P 0.1343 0.5979 0.8253
P 0.1343 0.9021 0.3253
P 0.4297 0.6319 0.6895
P 0.4297 0.8681 0.1895
P 0.5703 0.1319 0.8105
P 0.5703 0.3681 0.3105
P 0.8657 0.0979 0.6747
P 0.8657 0.4021 0.1747
O 0.0071 0.5043 0.7318
O 0.0071 0.9957 0.2318
O 0.0867 0.7253 0.7617
O 0.0867 0.7747 0.2617
O 0.1528 0.5894 0.9987
O 0.1528 0.9106 0.4987
O 0.3232 0.5636 0.7993
O 0.3232 0.9364 0.2993
O 0.3294 0.6074 0.5216
O 0.3294 0.8926 0.0216
O 0.3916 0.0729 0.7677
O 0.3916 0.4271 0.2677
O 0.4424 0.7349 0.2348
O 0.4424 0.7651 0.7348
O 0.5576 0.2349 0.2652
O 0.5576 0.2651 0.7652
O 0.6084 0.5729 0.7323
O 0.6084 0.9271 0.2323
O 0.6706 0.1074 0.9784
O 0.6706 0.3926 0.4784
O 0.6768 0.0636 0.7007
O 0.6768 0.4364 0.2007
O 0.8472 0.0894 0.5013
O 0.8472 0.4106 0.0013
O 0.9133 0.2253 0.7383
O 0.9133 0.2747 0.2383
O 0.9929 0.0043 0.7682
O 0.9929 0.4957 0.2682